Ca5Rh3: simulated powder X-ray diffraction pattern (Cu Kα (weighted mean of Kα1 and Kα2)), based on a cell relaxed with GGA-PBE.
Neutral-atom scattering factors, no anomalous dispersion.

Most intense lines, 2θ from 10° to 90°, by angle:
| Position (°2θ) | I (rel.) | index |
| --- | --- | --- |
| 23.8 | 282 | 0 0 2 |
| 24.7 | 614 | 1 2 1 |
| 25.2 | 1000 | 3 0 1 |
| 32.0 | 264 | 4 0 1 |
| 32.3 | 800 | 1 2 2 |
| 32.5 | 450 | 3 2 1 |
| 34.9 | 708 | 2 2 2 |
| 36.2 | 785 | 4 2 0 |
| 41.3 | 509 | 0 4 0 |
| 44.6 | 268 | 5 2 1 |

Cell and atoms:
```
32
Lattice="12.0579 0.0000 0.0000 0.0000 8.7470 0.0000 0.0000 0.0000 7.4847" Properties=species:S:1:pos:R:3 pbc="T T T"
Ca 12.0574 2.1868 0.2562
Ca 0.0005 6.5603 7.2285
Ca 1.0733 0.2494 5.0580
Ca 1.0733 4.1241 5.0580
Ca 2.3314 6.5603 2.6211
Ca 2.6972 2.1868 2.4467
Ca 3.3318 6.5603 6.1891
Ca 3.6976 2.1868 6.3635
Ca 4.9556 4.6229 1.3156
Ca 4.9556 8.4976 1.3156
Ca 6.0285 2.1868 3.4862
Ca 6.0295 6.5603 3.9986
Ca 7.1023 0.2494 6.1691
Ca 7.1023 4.1241 6.1691
Ca 8.3603 6.5603 1.1213
Ca 8.7262 2.1868 1.2956
Ca 9.3607 6.5603 5.0380
Ca 9.7266 2.1868 4.8637
Ca 10.9846 4.6229 2.4267
Ca 10.9846 8.4976 2.4267
Rh 0.0234 6.5603 4.2448
Rh 1.9649 4.3848 0.4308
Rh 1.9649 8.7357 0.4308
Rh 4.0641 0.0113 4.1732
Rh 4.0641 4.3622 4.1732
Rh 6.0056 2.1868 0.5025
Rh 6.0523 6.5603 6.9823
Rh 7.9939 4.3848 3.3116
Rh 7.9939 8.7357 3.3116
Rh 10.0930 0.0113 7.0539
Rh 10.0930 4.3622 7.0539
Rh 12.0346 2.1868 3.2399
```

PmAg2PtO4: simulated powder X-ray diffraction pattern (Cu Kα (weighted mean of Kα1 and Kα2)), based on a cell relaxed with GGA-PBE.
Neutral-atom scattering factors, no anomalous dispersion.

Most intense lines, 2θ from 10° to 90°, by angle:
| Position (°2θ) | I (rel.) | index |
| --- | --- | --- |
| 19.1 | 131 | 1 0 1 |
| 26.0 | 452 | 0 0 2 |
| 28.4 | 567 | 2 0 0 |
| 33.4 | 1000 | 1 2 1 |
| 38.8 | 319 | 2 0 2 |
| 50.7 | 384 | 1 2 3 |
| 53.5 | 341 | 0 0 4 |
| 61.6 | 103 | 2 0 4 |
| 66.8 | 162 | 3 2 3 |
| 83.4 | 117 | 4 0 4 |

Cell and atoms:
```
16
Lattice="6.2951 0.0000 0.0000 0.0000 6.5867 0.0000 0.0000 0.0000 6.8627" Properties=species:S:1:pos:R:3 pbc="T T T"
Pm 0.0000 0.0000 0.0000
Pm 3.1476 3.2933 3.4313
Ag 0.0000 1.8813 3.4313
Ag 0.0000 4.7053 3.4313
Ag 3.1476 1.4120 0.0000
Ag 3.1476 5.1746 0.0000
Pt 0.0000 3.2933 0.0000
Pt 3.1476 0.0000 3.4313
O 0.0000 1.8317 1.3596
O 0.0000 1.8317 5.5030
O 0.0000 4.7549 1.3596
O 0.0000 4.7549 5.5030
O 3.1476 1.4616 2.0717
O 3.1476 1.4616 4.7909
O 3.1476 5.1250 2.0717
O 3.1476 5.1250 4.7909
```

SrHgPb3: simulated powder X-ray diffraction pattern (Cu Kα (weighted mean of Kα1 and Kα2)), based on a cell relaxed with GGA-PBE.
Neutral-atom scattering factors, no anomalous dispersion.

Most intense lines, 2θ from 10° to 90°, by angle:
| Position (°2θ) | I (rel.) | index |
| --- | --- | --- |
| 18.1 | 210 | 1 0 0 |
| 22.1 | 405 | 1 1 -2 |
| 28.4 | 163 | 0 2 1 |
| 31.8 | 1000 | 2 1 -1 |
| 36.0 | 253 | 0 2 2 |
| 36.6 | 162 | 2 0 -4 |
| 38.5 | 199 | 1 2 -3 |
| 40.3 | 190 | 0 1 3 |
| 40.6 | 185 | 0 3 1 |
| 62.2 | 262 | 2 3 -5 |

Cell and atoms:
```
10
Lattice="6.8230 0.0000 0.0000 0.0000 7.0216 0.0000 -6.8209 0.0000 7.0745" Properties=species:S:1:pos:R:3 pbc="T T T"
Sr 0.0000 1.7475 0.0000
Sr -3.4104 5.2742 3.5373
Hg 3.4068 2.8606 1.1439
Hg -0.0036 4.1611 4.6812
Pb -1.7035 1.8080 3.5263
Pb -5.1139 5.2136 7.0636
Pb -3.4084 0.7724 6.1119
Pb 0.0020 6.2492 2.5746
Pb 1.7046 1.8094 3.5300
Pb -1.7058 5.2122 7.0673
```